# 1
Calculated powder XRD pattern of Na3Ni4F12 for λ = 1.5418 Å (Cu Kα), from a crystal structure in Alexandria, relaxed with GGA+U.
Peak positions follow from Bragg's law for the DFT cell and can differ from measured ones.

The 10 most intense peaks (10° ≤ 2θ ≤ 90°), by angle:
Position (°2θ)	d_spacing	I/Imax
22.93	3.879	100
32.65	2.743	84
36.63	2.453	10
43.65	2.073	9
46.84	1.940	53
52.77	1.735	37
58.26	1.584	46
68.40	1.371	23
73.20	1.293	13
77.87	1.227	13

Structural model:
```
19
Lattice="-3.879 3.879 3.879 3.879 -3.879 3.879 3.879 3.879 -3.879" Properties=species:S:1:pos:R:3 pbc="T T T"
Na 3.879 0.000 0.000
Na 0.000 3.879 0.000
Na 0.000 0.000 3.879
Ni 1.940 1.940 -1.940
Ni 1.940 -1.940 1.940
Ni -1.940 1.940 1.940
Ni 1.940 1.940 1.940
F 3.879 2.215 -1.592
F 2.287 0.000 1.664
F 5.471 0.000 1.664
F 1.664 2.287 0.000
F 2.215 -1.592 3.879
F 3.879 2.215 1.592
F 0.000 1.664 2.287
F 1.664 5.471 0.000
F 2.215 1.592 3.879
F -1.592 3.879 2.215
F 1.592 3.879 2.215
F 0.000 1.664 5.471
```


# 2
Calculated powder XRD pattern of Na4NiF6 for λ = 1.5418 Å (Cu Kα), from a crystal structure in Alexandria, relaxed with GGA+U.
Peak positions follow from Bragg's law for the DFT cell and can differ from measured ones.

The 10 most intense peaks (10° ≤ 2θ ≤ 90°), by angle:
Position (°2θ)	d_spacing	I/Imax
19.05	4.658	100
19.31	4.597	84
27.26	3.272	25
33.32	2.689	73
39.19	2.299	33
41.14	2.194	27
43.57	2.077	34
43.93	2.061	95
45.94	1.975	78
59.93	1.543	29

Structural model:
```
22
Lattice="4.658 2.689 3.730 -4.658 2.689 3.730 0.000 -5.378 3.730" Properties=species:S:1:pos:R:3 pbc="T T T"
Na -2.995 0.191 4.662
Na 0.000 0.000 2.797
Na -1.663 -2.498 6.527
Na 1.332 -2.689 4.662
Na -1.332 2.689 6.527
Na 1.663 2.498 4.662
Na 0.000 0.000 8.392
Na 2.995 -0.191 6.527
Ni 0.000 0.000 0.000
Ni 0.000 0.000 5.594
F -4.092 -1.149 6.284
F -1.051 -4.119 4.905
F -1.051 -1.260 4.419
F -3.041 2.970 4.905
F -0.565 1.540 4.419
F -1.616 0.280 6.770
F 1.616 -0.280 4.419
F 0.565 -1.540 6.770
F 3.041 -2.970 6.284
F 1.051 1.260 6.770
F 1.051 4.119 6.284
F 4.092 1.149 4.905
```


# 3
Calculated powder XRD pattern of NaNi2F6 for λ = 1.5418 Å (Cu Kα), from a crystal structure in Alexandria, relaxed with GGA+U.
Peak positions follow from Bragg's law for the DFT cell and can differ from measured ones.

The 10 most intense peaks (10° ≤ 2θ ≤ 90°), by angle:
Position (°2θ)	d_spacing	I/Imax
18.17	4.883	92
19.72	4.503	34
26.93	3.310	100
34.50	2.600	28
39.26	2.295	75
44.30	2.045	21
51.34	1.780	78
57.33	1.607	22
61.81	1.501	31
67.95	1.380	17

Structural model:
```
9
Lattice="5.200 0.000 0.000 -2.600 4.503 0.000 0.000 0.000 4.883" Properties=species:S:1:pos:R:3 pbc="T T T"
Na 0.000 0.000 0.000
Ni 0.000 3.002 2.441
Ni 2.600 1.501 2.441
F -0.934 1.618 3.486
F -1.666 2.885 1.396
F 1.868 0.000 3.486
F 0.934 1.618 1.396
F 3.332 0.000 1.396
F 1.666 2.885 3.486
```


# 4
Calculated powder XRD pattern of NaNi2F11 for λ = 1.5418 Å (Cu Kα), from a crystal structure in Alexandria, relaxed with GGA+U.
Peak positions follow from Bragg's law for the DFT cell and can differ from measured ones.

The 10 most intense peaks (10° ≤ 2θ ≤ 90°), by angle:
Position (°2θ)	d_spacing	I/Imax
16.91	5.243	100
18.26	4.859	39
22.26	3.994	73
24.98	3.564	65
28.09	3.177	18
28.94	3.085	44
33.71	2.659	24
45.41	1.997	32
51.27	1.782	31
56.55	1.627	19

Structural model:
```
14
Lattice="3.994 -4.859 0.000 3.994 4.859 0.000 0.000 0.000 5.243" Properties=species:S:1:pos:R:3 pbc="T T T"
Na 0.000 0.000 0.000
Ni 1.997 2.430 2.622
Ni 1.997 -2.430 2.622
F 1.525 1.264 1.345
F 1.525 1.264 3.898
F 1.525 -1.264 1.345
F 1.525 -1.264 3.898
F 3.994 1.711 2.622
F 3.994 0.000 2.622
F 3.994 -1.711 2.622
F 6.462 1.264 1.345
F 6.462 1.264 3.898
F 6.462 -1.264 1.345
F 6.462 -1.264 3.898
```


# 5
Calculated powder XRD pattern of NaNiF for λ = 1.5418 Å (Cu Kα), from a crystal structure in Alexandria, relaxed with GGA+U.
Peak positions follow from Bragg's law for the DFT cell and can differ from measured ones.

The 10 most intense peaks (10° ≤ 2θ ≤ 90°), by angle:
Position (°2θ)	d_spacing	I/Imax
19.39	4.577	29
29.27	3.052	25
33.89	2.645	21
34.86	2.574	49
39.34	2.290	47
41.44	2.179	28
42.63	2.121	100
49.42	1.844	40
54.91	1.672	18
58.49	1.578	21

Structural model:
```
6
Lattice="9.155 -1.467 0.000 9.155 1.467 0.000 -0.001 0.000 3.112" Properties=species:S:1:pos:R:3 pbc="T T T"
Na 0.000 0.000 0.000
Na 2.790 0.000 1.560
Ni 6.429 0.000 1.550
Ni 14.349 0.000 3.106
F 8.450 0.000 1.556
F 11.109 0.000 0.005
```


# 6
Calculated powder XRD pattern of Na3NiF6 for λ = 1.5418 Å (Cu Kα), from a crystal structure in Alexandria, relaxed with GGA+U.
Peak positions follow from Bragg's law for the DFT cell and can differ from measured ones.

The 10 most intense peaks (10° ≤ 2θ ≤ 90°), by angle:
Position (°2θ)	d_spacing	I/Imax
18.46	4.807	32
19.06	4.655	85
21.64	4.107	26
28.59	3.123	32
31.67	2.825	100
44.10	2.053	36
45.83	1.980	17
49.66	1.836	14
51.22	1.783	33
55.31	1.661	35

Structural model:
```
10
Lattice="0.000 4.107 4.807 3.492 0.000 4.807 3.492 4.107 0.000" Properties=species:S:1:pos:R:3 pbc="T T T"
Na 0.000 0.000 0.000
Na 1.746 2.053 2.404
Na 5.238 6.160 7.211
Ni 3.492 4.107 4.807
F 4.813 4.107 3.533
F 3.492 2.116 4.807
F 4.813 4.107 6.082
F 2.171 4.107 3.533
F 3.492 6.098 4.807
F 2.171 4.107 6.082
```